For HfZr2P4Pt4, a crystal structure in OQMD, relaxed with PBE gives the calculated powder diffraction line list in this record (Cu Kα).

Crystal structure
Unit cell a=7.3127 b=7.3127 c=7.3127 alpha=131.23 beta=131.23 gamma=71.45
Fractional positions:
Hf1 0.0000 0.0000 0.0000
Zr1 0.2500 0.7500 0.5000
Zr2 0.7500 0.2500 0.5000
P1 0.0000 0.5000 0.5000
P2 0.2564 0.2564 0.0000
P3 0.5000 0.0000 0.5000
P4 0.7436 0.7436 0.0000
Pt1 0.1266 0.1266 0.5004
Pt2 0.3738 0.8734 0.0000
Pt3 0.6262 0.6262 0.4996
Pt4 0.8734 0.3738 0.0000

The 6 most intense peaks (2θ = 10–90°), sorted by position:
| 2theta | d_spacing | intensity |
| --- | --- | --- |
| 25.7 | 3.466 | 100 |
| 42.3 | 2.135 | 33 |
| 42.7 | 2.117 | 63 |
| 50.2 | 1.818 | 33 |
| 50.9 | 1.795 | 17 |
| 77.7 | 1.229 | 22 |

For HfSbPW, a crystal structure in OQMD, relaxed with PBE gives the calculated powder diffraction line list in this record (Cu Kα).

Crystal structure
Unit cell a=3.8459 b=3.8459 c=12.0703 alpha=90.00 beta=90.00 gamma=120.00
Fractional positions:
Hf1 0.0000 0.0000 0.1610
Hf2 0.0000 0.0000 0.8390
Sb1 0.0000 0.0000 0.5000
Sb2 0.3333 0.6667 0.0000
P1 0.6667 0.3333 0.2743
P2 0.6667 0.3333 0.7257
W1 0.3333 0.6667 0.3493
W2 0.3333 0.6667 0.6507

The 6 most intense peaks (2θ = 10–90°), sorted by position:
| 2theta | d_spacing | intensity |
| --- | --- | --- |
| 26.8 | 3.331 | 26 |
| 35.0 | 2.566 | 100 |
| 47.3 | 1.923 | 34 |
| 60.1 | 1.539 | 21 |
| 67.4 | 1.390 | 16 |
| 79.8 | 1.201 | 19 |